For Na3VH11IO13, DFT lattice parameters and positions (PBE+U) gives the calculated powder X-ray diffraction pattern in this record (Cu Kα, 1.54184 Å).

Principal peaks in the range 10 to 80 degrees two-theta, in order of rising 2θ:
- hkl 0 1 0, d 8.363, 2θ 10.6, rel. 71.6
- hkl 0 1 1, d 7.983, 2θ 11.1, rel. 100.0
- hkl 1 0 0, d 6.220, 2θ 14.2, rel. 30.5
- hkl 1 0 1, d 5.499, 2θ 16.1, rel. 74.4
- hkl 1 1 1, d 5.318, 2θ 16.7, rel. 24.4
- hkl 1 -1 0, d 4.719, 2θ 18.8, rel. 47.1
- hkl 1 2 0, d 3.688, 2θ 24.1, rel. 27.9
- hkl 0 2 -1, d 3.528, 2θ 25.2, rel. 35.9
- hkl 2 1 0, d 3.041, 2θ 29.4, rel. 31.4
- hkl -1 2 3, d 2.761, 2θ 32.4, rel. 24.1
- hkl 1 1 4, d 2.682, 2θ 33.4, rel. 27.2
- hkl 2 2 0, d 2.658, 2θ 33.7, rel. 23.8

Crystal structure
```
Na3VH11IO13
1.0
6.2961 0.0000 0.0000
1.3189 8.8469 0.0000
1.0708 3.7104 10.7509
Na V H I O
6 2 22 2 26
Cartesian
1.3344 3.7204 4.5821
2.1144 7.3188 9.1596
1.3672 1.1818 1.6769
7.3186 11.3755 9.0739
6.5714 5.2385 1.5913
7.3513 8.8369 6.1687
4.3496 8.9917 4.9407
4.3361 3.5656 5.8101
1.5842 7.4541 0.7112
1.8430 6.0024 6.6278
2.0682 6.5456 3.9250
2.1524 4.4504 9.6563
2.2896 3.8252 7.5437
3.7867 8.8796 10.5837
2.8226 3.9160 0.8053
3.5256 7.3862 0.0613
3.6617 7.1200 1.6088
3.8374 5.8138 7.3516
4.5109 7.2337 7.6222
4.1749 5.3236 3.1287
4.8484 6.7435 3.3993
5.0241 5.4373 9.1421
5.1602 5.1711 10.6896
5.8632 8.6413 9.9455
4.8991 3.6777 0.1671
6.3962 8.7321 3.2072
6.5334 8.1069 1.0946
6.6176 6.0117 6.8258
6.8427 6.5549 4.1230
7.1016 5.1032 10.0396
4.0870 10.2955 7.7326
4.5987 2.2618 3.0183
1.2710 6.0000 3.7424
1.7921 5.1907 10.1943
2.4619 9.5050 8.0622
1.9753 3.1857 8.2699
2.1826 4.5235 0.3553
2.9346 8.1441 4.7882
3.6722 10.7106 5.8923
3.2537 7.7488 0.9424
3.0639 4.6290 6.3208
2.9510 1.2434 3.3843
4.1485 6.4254 8.0742
4.8101 9.9588 9.4055
3.7881 3.7908 3.8850
4.8977 8.7665 6.8658
3.8757 2.5985 1.3453
4.5373 6.1319 2.6766
5.7348 11.3139 7.3665
5.6219 7.9283 4.4301
5.4321 4.8085 9.8085
5.0135 1.8467 4.8586
5.7512 4.4132 5.9627
6.5032 8.0338 10.3956
6.7105 9.3716 2.4810
6.2239 3.0523 2.6886
6.8937 7.3666 0.5565
7.4148 6.5573 7.0085
```